(1)
The following is a theoretical powder diffractogram of NaHoNO. It was derived from a DFT-relaxed cell (GGA-PBE, OQMD), using Cu Kα X-rays.

Top 8 peaks for 5° ≤ 2θ ≤ 70°, by intensity:
| 2θ (°) | intensity |
| --- | --- |
| 32.64 | 100 |
| 25.99 | 73 |
| 37.08 | 68 |
| 19.41 | 67 |
| 55.22 | 41 |
| 42.19 | 37 |
| 64.05 | 31 |
| 39.41 | 29 |

Cell and atoms:
```
NaHoNO
1.0
4.8489 0.0000 0.0000
0.0000 4.8489 0.0000
0.0000 0.0000 4.5731
Na Ho N O
2 2 2 2
Cartesian
1.2122 1.2122 0.0050 Na
3.6367 3.6367 4.5680 Na
1.2122 3.6367 2.2865 Ho
3.6367 1.2122 2.2865 Ho
1.2122 1.2122 2.2908 N
3.6367 3.6367 2.2823 N
1.2122 3.6367 0.0000 O
3.6367 1.2122 0.0000 O
```

---

(2)
The following is a theoretical powder diffractogram of Hf4SbC3. It was derived from a DFT-relaxed cell (GGA-PBE, OQMD), using Cu Kα X-rays.

Top 8 peaks for 5° ≤ 2θ ≤ 70°, by intensity:
| 2θ (°) | intensity |
| --- | --- |
| 38.02 | 100 |
| 35.97 | 91 |
| 34.22 | 67 |
| 54.93 | 57 |
| 67.73 | 50 |
| 36.45 | 50 |
| 31.75 | 31 |
| 31.10 | 28 |

Cell and atoms:
```
Hf4SbC3
1.0
3.3433 0.0000 0.0000
-1.6716 2.8954 0.0000
0.0000 0.0000 24.6511
Hf Sb C
8 2 6
Cartesian
0.0000 0.0000 3.8520 Hf
0.0000 0.0000 8.4735 Hf
0.0000 0.0000 16.1776 Hf
0.0000 0.0000 20.7991 Hf
0.0000 1.9302 1.2865 Hf
0.0000 1.9302 11.0391 Hf
1.6716 0.9651 13.6120 Hf
1.6716 0.9651 23.3646 Hf
0.0000 1.9302 6.1628 Sb
1.6716 0.9651 18.4883 Sb
0.0000 0.0000 0.0000 C
0.0000 0.0000 12.3256 C
0.0000 1.9302 15.0294 C
0.0000 1.9302 21.9473 C
1.6716 0.9651 2.7038 C
1.6716 0.9651 9.6217 C
```

---

(3)
The following is a theoretical powder diffractogram of NdSmCu2Pb2. It was derived from a DFT-relaxed cell (GGA-PBE, OQMD), using Cu Kα X-rays.

Top 8 peaks for 5° ≤ 2θ ≤ 70°, by intensity:
| 2θ (°) | intensity |
| --- | --- |
| 32.26 | 100 |
| 38.36 | 77 |
| 24.85 | 43 |
| 65.57 | 36 |
| 50.97 | 28 |
| 42.04 | 24 |
| 62.97 | 22 |
| 69.37 | 13 |

Cell and atoms:
```
NdSmCu2Pb2
1.0
4.6929 0.0000 0.0000
-2.3464 4.0642 0.0000
0.0000 0.0000 7.5958
Nd Sm Cu Pb
1 1 2 2
Cartesian
0.0000 0.0000 0.0000 Nd
0.0000 0.0000 3.8005 Sm
0.0000 2.7094 1.4290 Cu
2.3464 1.3547 5.1744 Cu
0.0000 2.7094 5.8295 Pb
2.3464 1.3547 2.0712 Pb
```

---

(4)
The following is a theoretical powder diffractogram of Na4SnSbPt2. It was derived from a DFT-relaxed cell (GGA-PBE, OQMD), using Cu Kα X-rays.

Top 8 peaks for 5° ≤ 2θ ≤ 70°, by intensity:
| 2θ (°) | intensity |
| --- | --- |
| 37.39 | 100 |
| 22.64 | 68 |
| 44.16 | 36 |
| 67.45 | 35 |
| 53.92 | 17 |
| 59.21 | 16 |
| 26.20 | 5 |
| 60.91 | 2 |

Cell and atoms:
```
Na4SnSbPt2
1.0
4.8072 0.0000 0.0000
0.0000 4.8072 0.0000
0.0000 0.0000 6.8099
Na Sn Sb Pt
4 1 1 2
Cartesian
0.0000 0.0000 0.0000 Na
0.0000 2.4036 5.1001 Na
2.4036 0.0000 1.7098 Na
2.4036 2.4036 3.4050 Na
0.0000 0.0000 3.4050 Sn
2.4036 2.4036 0.0000 Sb
0.0000 2.4036 1.7124 Pt
2.4036 0.0000 5.0975 Pt
```

---

Question: Which formula does entry 3 have?
Answer: NdSmCu2Pb2

---

Question: Number 1 is which compound?
Answer: NaHoNO